Theoretical powder X-ray diffraction pattern of NdPb2WO6 for Cu Kα, 1.54184 Å, from a structure optimized by DFT (GGA+U).
Kinematic intensities with the Lorentz-polarization factor, no thermal factor.

```
data_NdPb2WO6
_symmetry_space_group_name_H-M 'P 1'
_symmetry_Int_Tables_number 1
_symmetry_space_group_name_Hall 'P 1'
_cell_length_a 5.7924
_cell_length_b 6.2399
_cell_length_c 10.3557
_cell_angle_alpha 90.00
_cell_angle_beta 123.19
_cell_angle_gamma 90.00
loop_
_atom_site_label
_atom_site_type_symbol
_atom_site_fract_x
_atom_site_fract_y
_atom_site_fract_z
_atom_site_occupancy
Nd1 Nd 0.0000 0.0000 0.0000 1
Nd2 Nd 0.0000 0.5000 0.5000 1
Pb1 Pb 0.2342 0.0482 0.7267 1
Pb2 Pb 0.2342 0.4518 0.2267 1
Pb3 Pb 0.7658 0.5482 0.7733 1
Pb4 Pb 0.7658 0.9518 0.2733 1
W1 W 0.5000 0.0000 0.5000 1
W2 W 0.5000 0.5000 0.0000 1
O1 O 0.1780 0.1705 0.4812 1
O2 O 0.1780 0.3295 0.9812 1
O3 O 0.2833 0.7393 0.4602 1
O4 O 0.2833 0.7607 0.9602 1
O5 O 0.3449 0.0357 0.2671 1
O6 O 0.3449 0.4643 0.7671 1
O7 O 0.6551 0.5357 0.2329 1
O8 O 0.6551 0.9643 0.7329 1
O9 O 0.7167 0.2393 0.0398 1
O10 O 0.7167 0.2607 0.5397 1
O11 O 0.8220 0.6705 0.0188 1
O12 O 0.8220 0.8295 0.5188 1
```

Principal peaks in the range 2θ from 10° to 90°, low angle first:
| 2θ/deg | intensity |
| --- | --- |
| 28.61 | 48 |
| 29.30 | 100 |
| 29.61 | 94 |
| 30.88 | 48 |
| 41.69 | 24 |
| 42.60 | 45 |
| 51.11 | 16 |
| 51.33 | 32 |
| 53.75 | 23 |
| 54.32 | 19 |